Starting from DFT lattice parameters and positions (GGA+U), the X-ray diffraction stick pattern of Li4MnP6O18 was simulated for Cu Kα (λ = 1.5418 Å).
No peak broadening, texture or thermal motion is included.

Peak list (10 most intense, 10 to 90 degrees two-theta, in order of rising 2θ)
2θ (°)  intensity
12.65  88
18.05  34
18.38  100
19.76  32
24.68  45
26.70  42
27.83  66
29.72  94
30.19  42
32.31  39

Structure:
abc: 12.4831 7.8615 14.0320
angles: 90.00 94.14 90.00
Space group C2/c (No. 15)
Asymmetric unit:
Li1 0.1697 0.1300 0.4243 x8
Li2 0.1708 0.3876 0.9527 x8
Mn1 0.0000 0.3745 0.2500 x4
P1 0.0846 0.3140 0.6096 x8
P2 0.0921 0.0548 0.1130 x8
P3 0.2305 0.1388 0.7508 x8
O1 0.0061 0.1824 0.1305 x8
O2 0.0058 0.4347 0.8741 x8
O3 0.0309 0.1266 0.5979 x8
O4 0.1534 0.2941 0.7115 x8
O5 0.1586 0.3456 0.5314 x8
O6 0.1596 0.0243 0.2139 x8
O7 0.1668 0.0798 0.0349 x8
O8 0.1681 0.3547 0.3018 x8
O9 0.2343 0.1358 0.8569 x8

---

Starting from DFT lattice parameters and positions (GGA+U), the X-ray diffraction stick pattern of MgMn3Zn2O8 was simulated for Cu Kα (λ = 1.5418 Å).
No peak broadening, texture or thermal motion is included.

Peak list (10 most intense, 10 to 90 degrees two-theta, in order of rising 2θ)
2θ (°)  intensity
23.58  89
23.70  43
31.12  100
34.95  44
35.18  44
35.97  38
36.10  66
36.34  38
39.69  44
51.21  55

Structure:
abc: 9.9808 5.6916 5.7563
angles: 90.00 90.20 90.00
Space group Cm (No. 8)
Asymmetric unit:
Mg1 0.0000 0.0000 0.0000 x2
Mn1 0.1940 0.5000 0.2966 x2
Mn2 0.2312 0.2497 0.7574 x4
Zn1 0.3993 0.0000 0.2326 x2
Zn2 0.4860 0.5000 0.4359 x2
O1 0.0638 0.2626 0.1984 x4
O2 0.0938 0.0000 0.7096 x2
O3 0.1273 0.5000 0.6172 x2
O4 0.2980 0.5000 0.9761 x2
O5 0.3204 0.2699 0.4247 x4
O6 0.3276 0.0000 0.8994 x2

---

Starting from DFT lattice parameters and positions (GGA+U), the X-ray diffraction stick pattern of Sr7PrFe4Mo4O24 was simulated for Cu Kα (λ = 1.5418 Å).
No peak broadening, texture or thermal motion is included.

Peak list (10 most intense, 10 to 90 degrees two-theta, in order of rising 2θ)
2θ (°)  intensity
27.81  100
31.43  66
31.78  64
32.23  68
32.84  59
35.61  47
40.46  62
45.57  43
51.25  50
58.52  24

Structure:
abc: 5.6186 5.6819 18.7949
angles: 82.08 89.96 60.40
Space group P1 (No. 1)
Asymmetric unit:
Sr1 0.0000 0.0000 0.0000 x1
Sr2 0.1202 0.1292 0.3703 x1
Sr3 0.2479 0.2564 0.7458 x1
Sr4 0.3815 0.3762 0.1249 x1
Sr5 0.5045 0.5010 0.5069 x1
Sr6 0.6262 0.6257 0.8754 x1
Sr7 0.7503 0.7505 0.2452 x1
Pr1 0.8740 0.8785 0.6271 x1
Fe1 0.0590 0.0657 0.1863 x1
Fe2 0.1882 0.1926 0.5661 x1
Fe3 0.3176 0.3140 0.9363 x1
Fe4 0.5640 0.5619 0.6846 x1
Mo1 0.4373 0.4408 0.3112 x1
Mo2 0.6898 0.6878 0.0606 x1
Mo3 0.8114 0.8175 0.4405 x1
Mo4 0.9384 0.9386 0.8117 x1
O1 0.0008 0.5073 0.5026 x1
O2 0.1206 0.6230 0.8728 x1
O3 0.1420 0.6702 0.3899 x1
O4 0.1660 0.0913 0.8615 x1
O5 0.2064 0.2765 0.2596 x1
O6 0.2099 0.7229 0.7345 x1
O7 0.2570 0.7508 0.2495 x1
O8 0.3685 0.8760 0.6245 x1
O9 0.4160 0.8945 0.1301 x1
O10 0.4479 0.5310 0.0083 x1
O11 0.4596 0.3147 0.6143 x1
O12 0.4740 0.9665 0.4872 x1
O13 0.4931 0.0001 0.9972 x1
O14 0.6272 0.1344 0.3780 x1
O15 0.6562 0.1553 0.8843 x1
O16 0.6799 0.5994 0.3645 x1
O17 0.7045 0.7917 0.7603 x1
O18 0.7254 0.2122 0.2366 x1
O19 0.7604 0.2449 0.7460 x1
O20 0.8862 0.3741 0.1229 x1
O21 0.9075 0.4412 0.6352 x1
O22 0.9311 0.8421 0.1128 x1
O23 0.9417 0.0296 0.5174 x1
O24 0.9601 0.4772 0.9891 x1